1.
Starting from DFT lattice parameters and positions (PBE), the X-ray powder pattern of SrSeI was computed for Cu Kα.

Structure:
```
data_SrSeI
_chemical_formula_sum 'Sr8 Se8 I8'
_space_group_name_H-M_alt 'C m c e'
_space_group_IT_number 64
_space_group_name_Hall '-C 2ac 2'
_cell_length_a 8.289
_cell_length_b 13.584
_cell_length_c 8.288
_cell_angle_alpha 90.00
_cell_angle_beta 90.00
_cell_angle_gamma 90.00
loop_
_atom_site_label
_atom_site_type_symbol
_atom_site_fract_x
_atom_site_fract_y
_atom_site_fract_z
Sr1 Sr 0.250 0.001 0.250
Se1 Se 0.000 0.091 0.501
I1 I 0.000 0.143 0.001
```

Most intense lines, 2θ from 15° to 90°, by angle:
hkl  2θ/deg  Rel. int.
2 0 0  21.44  35
1 3 1  24.85  37
2 0 2  30.51  91
2 4 0  34.13  100
4 0 0  43.68  33
4 4 2  56.57  46

=====

2.
Starting from DFT lattice parameters and positions (PBE), the X-ray powder pattern of ZrTeIr was computed for Cu Kα.

Structure:
```
data_ZrTeIr
_chemical_formula_sum 'Zr6 Te6 Ir6'
_space_group_name_H-M_alt 'R -3 m'
_space_group_IT_number 166
_space_group_name_Hall '-R 3 2"'
_cell_length_a 4.2338
_cell_length_b 4.2338
_cell_length_c 31.1353
_cell_angle_alpha 90.00
_cell_angle_beta 90.00
_cell_angle_gamma 120.00
loop_
_atom_site_label
_atom_site_type_symbol
_atom_site_fract_x
_atom_site_fract_y
_atom_site_fract_z
Zr1 Zr 0.0000 0.0000 0.0561
Te1 Te 0.0000 0.0000 0.2232
Ir1 Ir 0.0000 0.0000 0.3340
```

Most intense lines, 2θ from 15° to 90°, by angle:
hkl  2θ/deg  Rel. int.
0 1 2  24.95  42
1 0 7  31.62  100
0 1 11  40.25  47
1 1 0  42.71  88
1 1 3  43.63  36
1 1 18  70.28  39

=====

3.
Starting from DFT lattice parameters and positions (PBE), the X-ray powder pattern of PaGaNiN was computed for Cu Kα.

Structure:
```
data_PaGaNiN
_chemical_formula_sum 'Pa2 Ga2 Ni2 N2'
_space_group_name_H-M_alt 'P 4/n m m'
_space_group_IT_number 129
_cell_length_a 4.008
_cell_length_b 4.008
_cell_length_c 7.765
_cell_angle_alpha 90.00
_cell_angle_beta 90.00
_cell_angle_gamma 90.00
loop_
_space_group_symop_operation_xyz
'x,y,z'
'-x,-y,-z'
'-y+1/2,x,z'
'y+1/2,-x,-z'
'-x+1/2,-y+1/2,z'
'x+1/2,y+1/2,-z'
'y,-x+1/2,z'
'-y,x+1/2,-z'
'x+1/2,-y,-z'
'-x+1/2,y,z'
'-y,-x,-z'
'y,x,z'
'-x,y+1/2,-z'
'x,-y+1/2,z'
'y+1/2,x+1/2,-z'
'-y+1/2,-x+1/2,z'
loop_
_atom_site_label
_atom_site_type_symbol
_atom_site_fract_x
_atom_site_fract_y
_atom_site_fract_z
Pa1 Pa 0.250 0.250 0.145
Ga1 Ga 0.250 0.250 0.662
Ni1 Ni 0.250 0.750 0.500
N1 N 0.250 0.750 0.000
```

Most intense lines, 2θ from 15° to 90°, by angle:
hkl  2θ/deg  Rel. int.
1 0 1  25.00  31
1 1 0  31.57  31
1 0 2  32.09  100
1 1 1  33.66  25
2 0 0  45.24  34
2 1 2  56.55  41

=====

4.
Starting from DFT lattice parameters and positions (PBE), the X-ray powder pattern of La5Si was computed for Cu Kα.

Structure:
```
data_La5Si
_chemical_formula_sum 'La5 Si1'
_space_group_name_H-M_alt 'P -6 2 m'
_space_group_IT_number 189
_space_group_name_Hall 'P -6 -2'
_cell_length_a 6.1679
_cell_length_b 6.1679
_cell_length_c 5.6640
_cell_angle_alpha 90.00
_cell_angle_beta 90.00
_cell_angle_gamma 120.00
loop_
_atom_site_label
_atom_site_type_symbol
_atom_site_fract_x
_atom_site_fract_y
_atom_site_fract_z
La1 La 0.0000 0.7055 0.0000
La2 La 0.3333 0.6667 0.5000
Si1 Si 0.0000 0.0000 0.5000
```

Most intense lines, 2θ from 15° to 90°, by angle:
hkl  2θ/deg  Rel. int.
1 0 1  22.88  20
1 1 0  28.95  25
0 0 2  31.59  27
1 1 1  33.07  100
1 1 3  57.21  21
3 0 2  61.52  19

=====

5.
Starting from DFT lattice parameters and positions (PBE), the X-ray powder pattern of NdThZnAg was computed for Cu Kα.

Structure:
```
data_NdThZnAg
_chemical_formula_sum 'Nd4 Th4 Zn4 Ag4'
_space_group_name_H-M_alt 'F -4 3 m'
_space_group_IT_number 216
_space_group_name_Hall 'F -4 2 3'
_cell_length_a 7.433
_cell_length_b 7.433
_cell_length_c 7.433
_cell_angle_alpha 90.00
_cell_angle_beta 90.00
_cell_angle_gamma 90.00
loop_
_atom_site_label
_atom_site_type_symbol
_atom_site_fract_x
_atom_site_fract_y
_atom_site_fract_z
Nd1 Nd 0.000 0.000 0.000
Th1 Th 0.000 0.000 0.500
Zn1 Zn 0.250 0.250 0.250
Ag1 Ag 0.250 0.250 0.750
```

Most intense lines, 2θ from 15° to 90°, by angle:
hkl  2θ/deg  Rel. int.
2 0 0  23.94  13
2 2 0  34.12  100
4 0 0  49.02  18
4 2 2  61.07  37
4 4 0  71.84  11
6 2 0  81.98  16

=====

6.
Starting from DFT lattice parameters and positions (PBE), the X-ray powder pattern of Ba2TlZnN was computed for Cu Kα.

Structure:
```
data_Ba2TlZnN
_chemical_formula_sum 'Ba4 Tl2 Zn2 N2'
_space_group_name_H-M_alt 'P 1 21/m 1'
_space_group_IT_number 11
_cell_length_a 8.250
_cell_length_b 4.163
_cell_length_c 9.794
_cell_angle_alpha 90.00
_cell_angle_beta 114.27
_cell_angle_gamma 90.00
loop_
_space_group_symop_operation_xyz
'x,y,z'
'-x,-y,-z'
'-x,y+1/2,-z'
'x,-y+1/2,z'
loop_
_atom_site_label
_atom_site_type_symbol
_atom_site_fract_x
_atom_site_fract_y
_atom_site_fract_z
Ba1 Ba 0.189 0.250 0.479
Ba2 Ba 0.191 0.250 0.880
Tl1 Tl 0.327 0.750 0.230
Zn1 Zn 0.431 0.750 0.762
N1 N 0.170 0.750 0.679
```

Most intense lines, 2θ from 15° to 90°, by angle:
hkl  2θ/deg  Rel. int.
2 0 0  23.62  73
1 1 -2  28.38  100
0 1 2  29.33  39
2 1 0  32.08  73
2 1 -2  32.23  36
0 2 0  43.49  41

=====

7.
Starting from DFT lattice parameters and positions (PBE), the X-ray powder pattern of Pr2Sn4Pd5 was computed for Cu Kα.

Structure:
```
data_Pr2Sn4Pd5
_chemical_formula_sum 'Pr8 Sn16 Pd20'
_space_group_name_H-M_alt 'F m m m'
_space_group_IT_number 69
_space_group_name_Hall '-F 2 2'
_cell_length_a 5.916
_cell_length_b 10.320
_cell_length_c 16.357
_cell_angle_alpha 90.00
_cell_angle_beta 90.00
_cell_angle_gamma 90.00
loop_
_atom_site_label
_atom_site_type_symbol
_atom_site_fract_x
_atom_site_fract_y
_atom_site_fract_z
Pr1 Pr 0.000 0.000 0.146
Sn1 Sn 0.000 0.155 0.371
Pd1 Pd 0.000 0.000 0.500
Pd2 Pd 0.250 0.250 0.000
Pd3 Pd 0.250 0.250 0.250
```

Most intense lines, 2θ from 15° to 90°, by angle:
hkl  2θ/deg  Rel. int.
1 3 1  30.55  39
1 3 3  34.35  100
2 2 0  34.96  38
2 0 4  37.53  83
0 0 8  44.30  31
2 6 8  79.72  29

=====

8.
Starting from DFT lattice parameters and positions (PBE), the X-ray powder pattern of Tm2Be3Cu17 was computed for Cu Kα.

Structure:
```
data_Tm2Be3Cu17
_chemical_formula_sum 'Tm6 Be9 Cu51'
_space_group_name_H-M_alt 'R -3 m'
_space_group_IT_number 166
_space_group_name_Hall '-R 3 2"'
_cell_length_a 8.9621
_cell_length_b 8.9621
_cell_length_c 12.7595
_cell_angle_alpha 90.00
_cell_angle_beta 90.00
_cell_angle_gamma 120.00
loop_
_atom_site_label
_atom_site_type_symbol
_atom_site_fract_x
_atom_site_fract_y
_atom_site_fract_z
Tm1 Tm 0.0000 0.0000 0.1719
Be1 Be 0.0000 0.5000 0.5000
Cu1 Cu 0.0000 0.0000 0.4026
Cu2 Cu 0.0000 0.2704 0.5000
Cu3 Cu 0.0000 0.5000 0.0000
Cu4 Cu 0.0032 0.5016 0.6654
```

Most intense lines, 2θ from 15° to 90°, by angle:
hkl  2θ/deg  Rel. int.
1 1 3  28.94  50
3 0 0  34.67  36
2 2 0  40.25  88
0 3 3  40.83  100
0 0 6  42.51  44
4 1 3  58.67  33